1.
The following is a calculated powder X-ray diffraction pattern of Li15Ge4. It was derived from the PBE geometry in the Materials Project, using λ = 1.5418 Å (Cu Kα).
Intensities are scaled so that the largest is 100.

The 10 most intense peaks (10 to 80 degrees two-theta), most intense first:
23.5°, rel. 100, hkl 2 2 0; 43.1°, rel. 53, hkl 5 1 0; 26.3°, rel. 49, hkl 3 1 0; 39.5°, rel. 39, hkl 3 3 2; 20.3°, rel. 35, hkl 2 1 1; 46.5°, rel. 31, hkl 5 2 1; 41.3°, rel. 20, hkl 4 2 2; 31.3°, rel. 18, hkl 3 2 1; 63.9°, rel. 17, hkl 7 2 1; 69.1°, rel. 15, hkl 6 5 1

Structural model:
a = 10.7010 Å, b = 10.7010 Å, c = 10.7010 Å
α = 90.00°, β = 90.00°, γ = 90.00°
Space group I-43d (No. 220)
One atom of each set of equivalent atoms:
Li: 0.0000 0.2500 0.3750
Li: 0.0369 0.3776 0.1539
Ge: 0.0423 0.4577 0.5423

=====

2.
The following is a calculated powder X-ray diffraction pattern of Li3Ge. It was derived from the PBE geometry in the Materials Project, using λ = 1.5418 Å (Cu Kα).
Intensities are scaled so that the largest is 100.

The 9 most intense peaks (10 to 80 degrees two-theta), most intense first:
24.8°, rel. 100, hkl 1 1 1; 41.0°, rel. 65, hkl 2 2 0; 28.7°, rel. 52, hkl 2 0 0; 48.5°, rel. 48, hkl 3 1 1; 74.7°, rel. 21, hkl 4 2 2; 65.3°, rel. 19, hkl 3 3 1; 67.2°, rel. 18, hkl 4 2 0; 50.8°, rel. 14, hkl 2 2 2; 59.4°, rel. 11, hkl 4 0 0

Structural model:
a = 6.2275 Å, b = 6.2275 Å, c = 6.2275 Å
α = 90.00°, β = 90.00°, γ = 90.00°
Space group Fm-3m (No. 225)
One atom of each set of equivalent atoms:
Li: 0.0000 0.0000 0.0000
Li: 0.2500 0.2500 0.2500
Ge: 0.0000 0.0000 0.5000

=====

3.
The following is a calculated powder X-ray diffraction pattern of Li9Ge4. It was derived from the PBE geometry in the Materials Project, using λ = 1.5418 Å (Cu Kα).
Intensities are scaled so that the largest is 100.

The 10 most intense peaks (10 to 80 degrees two-theta), most intense first:
24.3°, rel. 100, hkl 1 1 2; 24.1°, rel. 67, hkl 0 2 2; 23.4°, rel. 63, hkl 1 1 1; 40.3°, rel. 60, hkl 1 3 0; 44.8°, rel. 56, hkl 0 2 10; 30.1°, rel. 36, hkl 0 0 8; 51.1°, rel. 31, hkl 1 3 8; 40.6°, rel. 31, hkl 2 0 0; 23.2°, rel. 26, hkl 0 2 1; 41.5°, rel. 24, hkl 1 1 9

Structural model:
a = 4.4430 Å, b = 7.7669 Å, c = 23.7401 Å
α = 90.00°, β = 90.00°, γ = 90.00°
Space group Cmcm (No. 63)
One atom of each set of equivalent atoms:
Li: 0.0000 0.0126 0.1766
Li: 0.0000 0.3228 0.5930
Li: 0.0000 0.3368 0.0171
Li: 0.0000 0.3466 0.2500
Li: 0.0000 0.3476 0.1319
Ge: 0.0000 0.0061 0.0545
Ge: 0.0000 0.3205 0.6992

=====

4.
The following is a calculated powder X-ray diffraction pattern of LiGe3. It was derived from the PBE geometry in the Materials Project, using λ = 1.5418 Å (Cu Kα).
Intensities are scaled so that the largest is 100.

The 10 most intense peaks (10 to 80 degrees two-theta), most intense first:
37.4°, rel. 100, hkl 1 1 2; 44.4°, rel. 31, hkl 2 0 0; 24.1°, rel. 29, hkl 1 0 1; 77.1°, rel. 23, hkl 3 1 2; 62.4°, rel. 22, hkl 2 0 4; 41.5°, rel. 19, hkl 0 0 4; 73.0°, rel. 14, hkl 1 1 6; 20.4°, rel. 11, hkl 0 0 2; 79.8°, rel. 11, hkl 2 2 4; 64.6°, rel. 10, hkl 2 2 0

Structural model:
a = 4.0812 Å, b = 4.0812 Å, c = 8.7014 Å
α = 90.00°, β = 90.00°, γ = 90.00°
Space group I4/mmm (No. 139)
One atom of each set of equivalent atoms:
Li: 0.0000 0.0000 0.0000
Ge: 0.0000 0.0000 0.5000
Ge: 0.0000 0.5000 0.2500